This entry pairs a crystal structure of RbZr2WO8 with its calculated powder diffractogram. Radiation: a wavelength of 1.5418 Å. Structure: a DFT-relaxed cell (GGA+U, Alexandria).
Kinematic intensities with the Lorentz-polarization factor, no thermal factor.

The 10 most intense peaks (2θ = 10–90°), most intense first:
h k l, Position (°2θ), I_rel
1 2 0, 31.0, 100.0
1 0 -1, 25.2, 60.4
1 0 1, 26.0, 51.6
2 2 -1, 48.1, 41.2
2 2 1, 49.1, 34.7
0 1 0, 12.4, 24.4
0 0 2, 36.4, 19.8
0 1 1, 21.9, 13.4
2 0 0, 36.5, 12.5
0 4 2, 64.5, 12.2

Structure:
Unit cell a=4.9236 b=7.1309 c=4.9343 alpha=90.00 beta=91.83 gamma=90.00
Positions (direct):
Rb1 0.0000 0.0000 0.0000
Zr1 0.5000 0.2643 0.5000
Zr2 0.5000 0.7357 0.5000
W1 0.0000 0.5000 0.0000
O1 0.2030 0.3122 0.2014
O2 0.2030 0.6878 0.2014
O3 0.2872 0.5000 0.7117
O4 0.3516 0.0000 0.6433
O5 0.6484 0.0000 0.3567
O6 0.7128 0.5000 0.2883
O7 0.7970 0.3122 0.7986
O8 0.7970 0.6878 0.7986